Simulated PXRD pattern of SbCl3 for a wavelength of 1.5418 Å, from a cell relaxed with PBE.
Kinematic intensities with the Lorentz-polarization factor, no thermal factor.

Peak list (10 most intense, 10° ≤ 2θ ≤ 90°, sorted by position)
2θ = 16.21°, 5.469 Å, intensity 100.0, (1 0 1)
2θ = 18.98°, 4.677 Å, intensity 22.3, (0 2 0)
2θ = 20.02°, 4.435 Å, intensity 17.1, (2 0 0)
2θ = 25.05°, 3.555 Å, intensity 32.1, (1 2 1)
2θ = 27.72°, 3.218 Å, intensity 41.0, (2 2 0)
2θ = 38.12°, 2.361 Å, intensity 14.7, (2 2 2)
2θ = 38.28°, 2.351 Å, intensity 29.8, (3 2 1)
2θ = 44.85°, 2.021 Å, intensity 20.9, (1 2 3)
2θ = 50.01°, 1.824 Å, intensity 11.8, (3 0 3)
2θ = 56.92°, 1.618 Å, intensity 12.8, (2 0 4)

```
data_SbCl3
_cell_length_a 8.869
_cell_length_b 9.354
_cell_length_c 6.948
_cell_angle_alpha 90.00
_cell_angle_beta 90.00
_cell_angle_gamma 90.00
_space_group_name_H-M_alt 'P n m a'
_space_group_IT_number 62
loop_
_space_group_symop_operation_xyz
'x,y,z'
'-x,-y,-z'
'-x+1/2,-y,z+1/2'
'x+1/2,y,-z+1/2'
'x+1/2,-y+1/2,-z+1/2'
'-x+1/2,y+1/2,z+1/2'
'-x,y+1/2,-z'
'x,-y+1/2,z'
loop_
_atom_site_label
_atom_site_type_symbol
_atom_site_fract_x
_atom_site_fract_y
_atom_site_fract_z
Sb1 Sb 0.001 0.250 0.012
Cl1 Cl 0.083 0.750 0.313
Cl2 Cl 0.168 0.567 0.874
```

=====

Simulated PXRD pattern of SbCl5 for a wavelength of 1.5418 Å, from a cell relaxed with PBE.
Kinematic intensities with the Lorentz-polarization factor, no thermal factor.

Peak list (10 most intense, 10° ≤ 2θ ≤ 90°, sorted by position)
2θ = 12.76°, 6.937 Å, intensity 36.0, (1 0 0)
2θ = 16.55°, 5.358 Å, intensity 100.0, (1 0 1)
2θ = 21.07°, 4.217 Å, intensity 16.7, (0 0 2)
2θ = 22.20°, 4.005 Å, intensity 41.0, (1 1 0)
2θ = 25.68°, 3.469 Å, intensity 26.8, (2 0 0)
2θ = 34.42°, 2.606 Å, intensity 30.3, (1 0 3)
2θ = 35.87°, 2.504 Å, intensity 29.0, (2 1 1)
2θ = 45.28°, 2.003 Å, intensity 20.2, (2 2 0)
2θ = 47.41°, 1.918 Å, intensity 23.6, (2 1 3)
2θ = 58.09°, 1.588 Å, intensity 12.1, (3 1 3)

```
data_SbCl5
_cell_length_a 8.0102
_cell_length_b 8.0102
_cell_length_c 8.4348
_cell_angle_alpha 90.00
_cell_angle_beta 90.00
_cell_angle_gamma 120.00
_space_group_name_H-M_alt 'P 63/m m c'
_space_group_IT_number 194
_space_group_name_Hall '-P 6c 2c'
loop_
_atom_site_label
_atom_site_type_symbol
_atom_site_fract_x
_atom_site_fract_y
_atom_site_fract_z
Sb1 Sb 0.3333 0.6667 0.2500
Cl1 Cl 0.1652 0.3304 0.2500
Cl2 Cl 0.3333 0.6667 0.5318
```

=====

Simulated PXRD pattern of SbCl5 for a wavelength of 1.5418 Å, from a cell relaxed with PBE.
Kinematic intensities with the Lorentz-polarization factor, no thermal factor.

Peak list (10 most intense, 10° ≤ 2θ ≤ 90°, sorted by position)
2θ = 13.96°, 6.344 Å, intensity 75.2, (0 0 2)
2θ = 15.37°, 5.763 Å, intensity 100.0, (0 2 1)
2θ = 15.57°, 5.691 Å, intensity 15.2, (1 1 -2)
2θ = 16.73°, 5.299 Å, intensity 18.2, (1 2 -1)
2θ = 18.82°, 4.714 Å, intensity 14.0, (2 1 -1)
2θ = 19.77°, 4.490 Å, intensity 21.0, (2 1 0)
2θ = 30.20°, 2.959 Å, intensity 41.5, (3 2 -2)
2θ = 33.80°, 2.652 Å, intensity 20.0, (1 3 -4)
2θ = 34.03°, 2.635 Å, intensity 24.7, (2 3 2)
2θ = 44.36°, 2.042 Å, intensity 16.0, (3 5 -2)

```
data_SbCl5
_cell_length_a 10.138
_cell_length_b 12.935
_cell_length_c 13.444
_cell_angle_alpha 90.00
_cell_angle_beta 109.17
_cell_angle_gamma 90.00
_space_group_name_H-M_alt 'P 1 21/c 1'
_space_group_IT_number 14
loop_
_space_group_symop_operation_xyz
'x,y,z'
'-x,-y,-z'
'-x,y+1/2,-z+1/2'
'x,-y+1/2,z+1/2'
loop_
_atom_site_label
_atom_site_type_symbol
_atom_site_fract_x
_atom_site_fract_y
_atom_site_fract_z
Sb1 Sb 0.116 0.131 0.311
Sb2 Sb 0.306 0.627 0.295
Cl1 Cl 0.093 0.523 0.170
Cl2 Cl 0.094 0.234 0.449
Cl3 Cl 0.096 0.736 0.313
Cl4 Cl 0.099 0.026 0.164
Cl5 Cl 0.269 0.247 0.272
Cl6 Cl 0.273 0.017 0.428
Cl7 Cl 0.281 0.525 0.433
Cl8 Cl 0.288 0.731 0.148
Cl9 Cl 0.457 0.509 0.256
Cl10 Cl 0.464 0.740 0.412
```

=====

Simulated PXRD pattern of TlSbCl6 for a wavelength of 1.5418 Å, from a cell relaxed with PBE.
Kinematic intensities with the Lorentz-polarization factor, no thermal factor.

Peak list (10 most intense, 10° ≤ 2θ ≤ 90°, sorted by position)
2θ = 15.39°, 5.758 Å, intensity 37.8, (1 1 0)
2θ = 17.69°, 5.013 Å, intensity 100.0, (1 1 1)
2θ = 18.53°, 4.788 Å, intensity 66.2, (2 0 -2)
2θ = 22.93°, 3.878 Å, intensity 41.9, (2 0 2)
2θ = 25.59°, 3.481 Å, intensity 39.0, (1 1 -3)
2θ = 25.87°, 3.445 Å, intensity 30.5, (3 1 -1)
2θ = 31.20°, 2.867 Å, intensity 58.8, (2 2 -1)
2θ = 31.90°, 2.805 Å, intensity 43.5, (1 1 -4)
2θ = 32.32°, 2.770 Å, intensity 42.5, (3 1 2)
2θ = 42.31°, 2.136 Å, intensity 34.8, (5 1 1)

```
data_TlSbCl6
_cell_length_a 12.227
_cell_length_b 6.570
_cell_length_c 12.422
_cell_angle_alpha 90.00
_cell_angle_beta 101.99
_cell_angle_gamma 90.00
_space_group_name_H-M_alt 'C 1 2/c 1'
_space_group_IT_number 15
loop_
_space_group_symop_operation_xyz
'x,y,z'
'-x,-y,-z'
'-x,y,-z+1/2'
'x,-y,z+1/2'
'x+1/2,y+1/2,z'
'-x+1/2,-y+1/2,-z'
'-x+1/2,y+1/2,-z+1/2'
'x+1/2,-y+1/2,z+1/2'
loop_
_atom_site_label
_atom_site_type_symbol
_atom_site_fract_x
_atom_site_fract_y
_atom_site_fract_z
Tl1 Tl 0.000 0.112 0.250
Sb1 Sb 0.250 0.250 0.000
Cl1 Cl 0.077 0.379 0.891
Cl2 Cl 0.150 0.049 0.540
Cl3 Cl 0.214 0.415 0.163
```

=====

Simulated PXRD pattern of Sc5Cl8 for a wavelength of 1.5418 Å, from a cell relaxed with PBE.
Kinematic intensities with the Lorentz-polarization factor, no thermal factor.

Peak list (10 most intense, 10° ≤ 2θ ≤ 90°, sorted by position)
2θ = 12.71°, 6.965 Å, intensity 64.1, (2 0 0)
2θ = 13.14°, 6.738 Å, intensity 37.0, (2 0 -2)
2θ = 20.42°, 4.350 Å, intensity 22.7, (4 0 -1)
2θ = 28.50°, 3.132 Å, intensity 21.7, (2 0 2)
2θ = 29.20°, 3.058 Å, intensity 23.0, (6 0 -2)
2θ = 31.67°, 2.825 Å, intensity 21.9, (3 1 0)
2θ = 32.08°, 2.790 Å, intensity 100.0, (3 1 -3)
2θ = 36.57°, 2.457 Å, intensity 29.4, (3 1 1)
2θ = 36.86°, 2.439 Å, intensity 30.4, (5 1 -1)
2θ = 37.46°, 2.401 Å, intensity 32.7, (5 1 -4)

```
data_Sc5Cl8
_cell_length_a 19.099
_cell_length_b 3.560
_cell_length_c 13.482
_cell_angle_alpha 90.00
_cell_angle_beta 133.17
_cell_angle_gamma 90.00
_space_group_name_H-M_alt 'C 1 2/m 1'
_space_group_IT_number 12
loop_
_space_group_symop_operation_xyz
'x,y,z'
'-x,-y,-z'
'-x,y,-z'
'x,-y,z'
'x+1/2,y+1/2,z'
'-x+1/2,-y+1/2,-z'
'-x+1/2,y+1/2,-z'
'x+1/2,-y+1/2,z'
loop_
_atom_site_label
_atom_site_type_symbol
_atom_site_fract_x
_atom_site_fract_y
_atom_site_fract_z
Sc1 Sc 0.000 0.000 0.000
Sc2 Sc 0.014 0.500 0.348
Sc3 Sc 0.112 0.000 0.618
Cl1 Cl 0.024 0.000 0.216
Cl2 Cl 0.127 0.500 0.107
Cl3 Cl 0.165 0.500 0.802
Cl4 Cl 0.186 0.500 0.569
```

=====

Simulated PXRD pattern of Sc7Cl10 for a wavelength of 1.5418 Å, from a cell relaxed with PBE.
Kinematic intensities with the Lorentz-polarization factor, no thermal factor.

Peak list (10 most intense, 10° ≤ 2θ ≤ 90°, sorted by position)
2θ = 11.18°, 7.916 Å, intensity 49.1, (2 0 -1)
2θ = 11.53°, 7.673 Å, intensity 19.5, (2 0 1)
2θ = 16.39°, 5.410 Å, intensity 24.5, (2 0 -2)
2θ = 29.36°, 3.042 Å, intensity 17.3, (2 0 -4)
2θ = 32.09°, 2.789 Å, intensity 100.0, (3 1 2)
2θ = 36.54°, 2.459 Å, intensity 18.8, (5 1 -2)
2θ = 40.15°, 2.246 Å, intensity 25.7, (6 0 4)
2θ = 45.83°, 1.980 Å, intensity 17.6, (7 1 -3)
2θ = 50.64°, 1.802 Å, intensity 18.1, (1 1 6)
2θ = 51.37°, 1.779 Å, intensity 20.3, (0 2 0)

```
data_Sc7Cl10
_cell_length_a 19.784
_cell_length_b 3.557
_cell_length_c 12.664
_cell_angle_alpha 90.00
_cell_angle_beta 91.84
_cell_angle_gamma 90.00
_space_group_name_H-M_alt 'C 1 2/m 1'
_space_group_IT_number 12
loop_
_space_group_symop_operation_xyz
'x,y,z'
'-x,-y,-z'
'-x,y,-z'
'x,-y,z'
'x+1/2,y+1/2,z'
'-x+1/2,-y+1/2,-z'
'-x+1/2,y+1/2,-z'
'x+1/2,-y+1/2,z'
loop_
_atom_site_label
_atom_site_type_symbol
_atom_site_fract_x
_atom_site_fract_y
_atom_site_fract_z
Sc1 Sc 0.000 0.000 0.000
Sc2 Sc 0.168 0.500 0.249
Sc3 Sc 0.187 0.000 0.467
Sc4 Sc 0.196 0.500 0.695
Cl1 Cl 0.052 0.500 0.888
Cl2 Cl 0.092 0.500 0.398
Cl3 Cl 0.108 0.000 0.124
Cl4 Cl 0.109 0.000 0.636
Cl5 Cl 0.222 0.000 0.845
```

=====

Simulated PXRD pattern of Sc7Cl12 for a wavelength of 1.5418 Å, from a cell relaxed with PBE.
Kinematic intensities with the Lorentz-polarization factor, no thermal factor.

Peak list (10 most intense, 10° ≤ 2θ ≤ 90°, sorted by position)
2θ = 13.39°, 6.612 Å, intensity 24.2, (1 1 0)
2θ = 18.36°, 4.832 Å, intensity 13.0, (0 2 1)
2θ = 29.82°, 2.997 Å, intensity 13.3, (1 3 1)
2θ = 32.75°, 2.734 Å, intensity 11.0, (1 1 3)
2θ = 34.55°, 2.596 Å, intensity 100.0, (3 1 2)
2θ = 49.62°, 1.837 Å, intensity 29.4, (4 -3 4)
2θ = 49.72°, 1.834 Å, intensity 30.1, (2 5 0)
2θ = 61.96°, 1.498 Å, intensity 13.4, (8 -6 2)
2θ = 83.15°, 1.162 Å, intensity 9.4, (7 -2 6)
2θ = 83.30°, 1.160 Å, intensity 10.3, (10 -1 2)

```
data_Sc7Cl12
_cell_length_a 13.2234
_cell_length_b 13.2234
_cell_length_c 9.0091
_cell_angle_alpha 90.00
_cell_angle_beta 90.00
_cell_angle_gamma 120.00
_space_group_name_H-M_alt 'R -3'
_space_group_IT_number 148
_space_group_name_Hall '-R 3'
loop_
_atom_site_label
_atom_site_type_symbol
_atom_site_fract_x
_atom_site_fract_y
_atom_site_fract_z
Sc1 Sc 0.0000 0.0000 0.0000
Sc2 Sc 0.0434 0.1608 0.3551
Cl1 Cl 0.0247 0.5847 0.1596
Cl2 Cl 0.0490 0.1750 0.8327
```

=====

Simulated PXRD pattern of ScCl3 for a wavelength of 1.5418 Å, from a cell relaxed with PBE.
Kinematic intensities with the Lorentz-polarization factor, no thermal factor.

Peak list (10 most intense, 10° ≤ 2θ ≤ 90°, sorted by position)
2θ = 13.75°, 6.442 Å, intensity 58.3, (0 0 3)
2θ = 16.42°, 5.399 Å, intensity 33.8, (1 0 1)
2θ = 18.25°, 4.860 Å, intensity 20.1, (0 1 2)
2θ = 27.70°, 3.221 Å, intensity 8.5, (0 0 6)
2θ = 30.84°, 2.899 Å, intensity 100.0, (1 1 3)
2θ = 39.41°, 2.287 Å, intensity 51.1, (1 1 6)
2θ = 48.57°, 1.874 Å, intensity 25.0, (3 0 0)
2θ = 50.72°, 1.800 Å, intensity 8.7, (3 0 3)
2θ = 50.99°, 1.791 Å, intensity 24.6, (2 -1 9)
2θ = 58.65°, 1.574 Å, intensity 10.1, (4 -2 3)

```
data_ScCl3
_cell_length_a 6.4932
_cell_length_b 6.4932
_cell_length_c 19.3248
_cell_angle_alpha 90.00
_cell_angle_beta 90.00
_cell_angle_gamma 120.00
_space_group_name_H-M_alt 'R -3'
_space_group_IT_number 148
_space_group_name_Hall '-R 3'
loop_
_atom_site_label
_atom_site_type_symbol
_atom_site_fract_x
_atom_site_fract_y
_atom_site_fract_z
Sc1 Sc 0.0000 0.0000 0.1661
Cl1 Cl 0.0006 0.3696 0.4257
```

=====

Simulated PXRD pattern of SeCl for a wavelength of 1.5418 Å, from a cell relaxed with PBE.
Kinematic intensities with the Lorentz-polarization factor, no thermal factor.

Peak list (10 most intense, 10° ≤ 2θ ≤ 90°, sorted by position)
2θ = 11.79°, 7.508 Å, intensity 18.7, (0 2 0)
2θ = 13.22°, 6.699 Å, intensity 36.7, (1 1 0)
2θ = 17.98°, 4.933 Å, intensity 34.8, (0 1 1)
2θ = 20.45°, 4.342 Å, intensity 68.5, (1 1 -1)
2θ = 20.70°, 4.291 Å, intensity 14.9, (0 2 1)
2θ = 21.31°, 4.170 Å, intensity 34.3, (1 3 0)
2θ = 23.62°, 3.767 Å, intensity 33.2, (0 4 0)
2θ = 28.26°, 3.158 Å, intensity 100.0, (1 3 1)
2θ = 30.17°, 2.962 Å, intensity 34.2, (2 2 -1)
2θ = 47.81°, 1.902 Å, intensity 28.0, (1 7 1)

```
data_SeCl
_cell_length_a 7.530
_cell_length_b 15.068
_cell_length_c 5.256
_cell_angle_alpha 90.00
_cell_angle_beta 96.64
_cell_angle_gamma 90.00
_space_group_name_H-M_alt 'P 1 21/c 1'
_space_group_IT_number 14
loop_
_space_group_symop_operation_xyz
'x,y,z'
'-x,-y,-z'
'-x,y+1/2,-z+1/2'
'x,-y+1/2,z+1/2'
loop_
_atom_site_label
_atom_site_type_symbol
_atom_site_fract_x
_atom_site_fract_y
_atom_site_fract_z
Se1 Se 0.099 0.140 0.450
Se2 Se 0.292 0.054 0.695
Cl1 Cl 0.157 0.641 0.866
Cl2 Cl 0.437 0.142 0.000
```